# 1
Simulated XRD peak list
Compound: TiCoSn
Radiation: copper Kα
Structure: a cell relaxed with GGA-PBE
Intensities are scaled so that the largest is 100.

Peak list (10 most intense, 15° ≤ 2θ ≤ 90°, low angle first)
two_theta, d (Å), I_rel
25.93, 3.436, 44.6
30.03, 2.976, 28.5
42.99, 2.104, 100.0
50.89, 1.794, 22.5
53.33, 1.718, 7.9
62.42, 1.488, 16.1
68.76, 1.365, 9.5
70.81, 1.331, 10.6
78.78, 1.215, 32.8
84.62, 1.145, 7.7

Cell and atoms:
```
data_TiCoSn
_cell_length_a 4.2080
_cell_length_b 4.2080
_cell_length_c 4.2080
_cell_angle_alpha 60.00
_cell_angle_beta 60.00
_cell_angle_gamma 60.00
_space_group_name_H-M_alt 'P 1'
_space_group_IT_number 1
loop_
_space_group_symop_operation_xyz
'x,y,z'
loop_
_atom_site_label
_atom_site_fract_x
_atom_site_fract_y
_atom_site_fract_z
Ti1 0.0000 0.0000 0.0000
Co1 0.7500 0.7500 0.7500
Sn1 0.5000 0.5000 0.5000
```


# 2
Simulated XRD peak list
Compound: Mg3Ti2Al18
Radiation: copper Kα
Structure: a cell relaxed with GGA-PBE
Intensities are scaled so that the largest is 100.

Peak list (12 most intense, 15° ≤ 2θ ≤ 90°, low angle first)
two_theta, d (Å), I_rel
34.36, 2.610, 17.2
35.99, 2.496, 50.0
36.51, 2.461, 15.6
38.57, 2.335, 30.0
40.04, 2.252, 75.3
40.53, 2.226, 100.0
42.41, 2.131, 32.1
43.79, 2.067, 47.6
52.60, 1.740, 18.0
65.72, 1.421, 24.2
72.42, 1.305, 43.8
75.99, 1.252, 20.5

Cell and atoms:
```
data_Mg3Ti2Al18
_cell_length_a 10.4402
_cell_length_b 10.4402
_cell_length_c 10.4402
_cell_angle_alpha 60.00
_cell_angle_beta 60.00
_cell_angle_gamma 60.00
_space_group_name_H-M_alt 'P 1'
_space_group_IT_number 1
loop_
_space_group_symop_operation_xyz
'x,y,z'
loop_
_atom_site_label
_atom_site_fract_x
_atom_site_fract_y
_atom_site_fract_z
Mg1 0.0000 0.0000 0.0000
Mg2 0.0000 0.0000 0.5000
Mg3 0.0000 0.5000 0.0000
Mg4 0.1250 0.1250 0.1250
Mg5 0.5000 0.0000 0.0000
Mg6 0.8750 0.8750 0.8750
Ti1 0.0000 0.5000 0.5000
Ti2 0.5000 0.0000 0.5000
Ti3 0.5000 0.5000 0.0000
Ti4 0.5000 0.5000 0.5000
Al1 0.0571 0.3248 0.3248
Al2 0.0571 0.3248 0.7934
Al3 0.0571 0.7934 0.3248
Al4 0.2066 0.6752 0.6752
Al5 0.2066 0.6752 0.9429
Al6 0.2066 0.9429 0.6752
Al7 0.2362 0.2362 0.5138
Al8 0.2362 0.5138 0.2362
Al9 0.2362 0.5138 0.5138
Al10 0.3248 0.0571 0.3248
Al11 0.3248 0.0571 0.7934
Al12 0.3248 0.3248 0.0571
Al13 0.3248 0.3248 0.7934
Al14 0.3248 0.7934 0.0571
Al15 0.3248 0.7934 0.3248
Al16 0.4862 0.4862 0.7638
Al17 0.4862 0.7638 0.4862
Al18 0.4862 0.7638 0.7638
Al19 0.5138 0.2362 0.2362
Al20 0.5138 0.2362 0.5138
Al21 0.5138 0.5138 0.2362
Al22 0.6752 0.2066 0.6752
Al23 0.6752 0.2066 0.9429
Al24 0.6752 0.6752 0.2066
Al25 0.6752 0.6752 0.9429
Al26 0.6752 0.9429 0.2066
Al27 0.6752 0.9429 0.6752
Al28 0.7638 0.4862 0.4862
Al29 0.7638 0.4862 0.7638
Al30 0.7638 0.7638 0.4862
Al31 0.7934 0.0571 0.3248
Al32 0.7934 0.3248 0.0571
Al33 0.7934 0.3248 0.3248
Al34 0.9429 0.2066 0.6752
Al35 0.9429 0.6752 0.2066
Al36 0.9429 0.6752 0.6752
```


# 3
Simulated XRD peak list
Compound: Ho4In5S13
Radiation: copper Kα
Structure: a cell relaxed with GGA-PBE
Intensities are scaled so that the largest is 100.

Peak list (12 most intense, 15° ≤ 2θ ≤ 90°, low angle first)
two_theta, d (Å), I_rel
24.80, 3.590, 61.6
25.64, 3.475, 31.4
25.72, 3.464, 100.0
27.29, 3.268, 41.4
32.68, 2.740, 34.1
34.68, 2.587, 25.4
37.42, 2.403, 21.9
40.46, 2.230, 27.5
44.23, 2.048, 32.5
46.14, 1.967, 23.1
47.09, 1.930, 25.4
54.43, 1.686, 26.2

Cell and atoms:
```
data_Ho4In5S13
_cell_length_a 11.8651
_cell_length_b 21.5409
_cell_length_c 3.8594
_cell_angle_alpha 90.00
_cell_angle_beta 90.00
_cell_angle_gamma 90.00
_space_group_name_H-M_alt 'P 1'
_space_group_IT_number 1
loop_
_space_group_symop_operation_xyz
'x,y,z'
loop_
_atom_site_label
_atom_site_fract_x
_atom_site_fract_y
_atom_site_fract_z
Ho1 0.0149 0.1720 0.0000
Ho2 0.1721 0.3404 0.0000
Ho3 0.3279 0.8404 0.0000
Ho4 0.4851 0.6720 0.0000
Ho5 0.5149 0.3280 0.0000
Ho6 0.6721 0.1596 0.0000
Ho7 0.8279 0.6596 0.0000
Ho8 0.9851 0.8280 0.0000
In1 0.0000 0.5000 0.0000
In2 0.1547 0.9933 0.5000
In3 0.1561 0.6709 0.5000
In4 0.3439 0.1709 0.5000
In5 0.3453 0.4933 0.5000
In6 0.5000 0.0000 0.0000
In7 0.6547 0.5067 0.5000
In8 0.6561 0.8291 0.5000
In9 0.8439 0.3291 0.5000
In10 0.8453 0.0067 0.5000
S1 0.0000 0.0000 0.0000
S2 0.0054 0.4050 0.5000
S3 0.0799 0.2612 0.5000
S4 0.1514 0.8654 0.5000
S5 0.1553 0.1157 0.5000
S6 0.1677 0.7433 0.0000
S7 0.2030 0.4725 0.0000
S8 0.2970 0.9725 0.0000
S9 0.3323 0.2433 0.0000
S10 0.3447 0.6157 0.5000
S11 0.3486 0.3654 0.5000
S12 0.4201 0.7612 0.5000
S13 0.4946 0.9050 0.5000
S14 0.5000 0.5000 0.0000
S15 0.5054 0.0950 0.5000
S16 0.5799 0.2388 0.5000
S17 0.6514 0.6346 0.5000
S18 0.6553 0.3843 0.5000
S19 0.6677 0.7567 0.0000
S20 0.7030 0.0275 0.0000
S21 0.7970 0.5275 0.0000
S22 0.8323 0.2567 0.0000
S23 0.8447 0.8843 0.5000
S24 0.8486 0.1346 0.5000
S25 0.9201 0.7388 0.5000
S26 0.9946 0.5950 0.5000
```